This entry pairs a crystal structure of Cs2CuNiF6 with its computed powder X-ray diffraction pattern. Radiation: Cu Kα (λ = 1.5418 Å). Structure: DFT lattice parameters and positions (GGA+U).

Most intense lines, 2θ = 10–90°, by angle:
hkl 2 0 0, 2θ 29.2, rel. 51.1
hkl 1 1 2, 2θ 29.5, rel. 100.0
hkl 2 0 2, 2θ 36.2, rel. 25.8
hkl 2 2 0, 2θ 41.7, rel. 38.5
hkl 3 1 2, 2θ 51.9, rel. 40.1
hkl 2 2 4, 2θ 61.2, rel. 22.1

Structural model:
Cell: 6.126 6.126 8.472 Å, 90.00 90.00 90.00°
Space group I4/mmm (No. 139)
Unique sites:
1 Cs 0.000 0.500 0.250 x4
2 Cu 0.000 0.000 0.000 x2
3 Ni 0.000 0.000 0.500 x2
4 F 0.000 0.000 0.224 x4
5 F 0.234 0.234 0.500 x8